[1]
# Sm3Ge2Pd3
Calculated powder XRD pattern, Cu Ka. Input: a crystal structure in Alexandria, relaxed with PBE.
Peak positions follow from Bragg's law for the DFT cell and can differ from measured ones.

The 8 most intense peaks (10° ≤ 2θ ≤ 90°), in order of rising 2θ:
two_theta, intensity
30.02, 58
32.78, 100
33.10, 48
33.62, 66
36.37, 86
37.48, 69
38.49, 81
40.60, 68

Structure:
a = 7.6713 Å, b = 15.5712 Å, c = 5.7836 Å
α = 90.00°, β = 90.00°, γ = 90.00°
Atoms (fractional coordinates):
Sm 0.0259 0.1082 0.1421
Sm 0.0259 0.3918 0.1421
Sm 0.1644 0.2500 0.6283
Sm 0.3356 0.7500 0.1283
Sm 0.4741 0.6082 0.6421
Sm 0.4741 0.8918 0.6421
Sm 0.5259 0.1082 0.3579
Sm 0.5259 0.3918 0.3579
Sm 0.6644 0.2500 0.8717
Sm 0.8356 0.7500 0.3717
Sm 0.9741 0.6082 0.8579
Sm 0.9741 0.8918 0.8579
Ge 0.1205 0.6083 0.3541
Ge 0.1205 0.8917 0.3541
Ge 0.3795 0.1083 0.8541
Ge 0.3795 0.3917 0.8541
Ge 0.6205 0.6083 0.1459
Ge 0.6205 0.8917 0.1459
Ge 0.8795 0.1083 0.6459
Ge 0.8795 0.3917 0.6459
Pd 0.1761 0.0312 0.5886
Pd 0.1761 0.4688 0.5886
Pd 0.1943 0.7500 0.6273
Pd 0.3057 0.2500 0.1273
Pd 0.3239 0.5312 0.0886
Pd 0.3239 0.9688 0.0886
Pd 0.6761 0.0312 0.9114
Pd 0.6761 0.4688 0.9114
Pd 0.6943 0.7500 0.8727
Pd 0.8057 0.2500 0.3727
Pd 0.8239 0.5312 0.4114
Pd 0.8239 0.9688 0.4114

---

[2]
# SmGePd
Calculated powder XRD pattern, Cu Ka. Input: a crystal structure in Alexandria, relaxed with PBE.
Peak positions follow from Bragg's law for the DFT cell and can differ from measured ones.

The 8 most intense peaks (10° ≤ 2θ ≤ 90°), in order of rising 2θ:
two_theta, intensity
32.88, 45
33.45, 26
33.86, 51
34.18, 100
40.26, 66
40.89, 45
53.82, 18
64.40, 18

Structure:
a = 10.5389 Å, b = 4.4140 Å, c = 7.2404 Å
α = 90.00°, β = 132.26°, γ = 90.00°
Atoms (fractional coordinates):
Sm 0.0458 0.0000 0.3065
Sm 0.4542 0.5000 0.6935
Sm 0.5458 0.5000 0.3065
Sm 0.9542 0.0000 0.6935
Ge 0.1587 0.5000 0.0994
Ge 0.3413 0.0000 0.9006
Ge 0.6587 0.0000 0.0994
Ge 0.8413 0.5000 0.9006
Pd 0.1777 0.5000 0.7265
Pd 0.3223 0.0000 0.2735
Pd 0.6777 0.0000 0.7265
Pd 0.8223 0.5000 0.2735

---

[3]
# TbSmGe2Pd2
Calculated powder XRD pattern, Cu Ka. Input: a crystal structure in Alexandria, relaxed with PBE.
Peak positions follow from Bragg's law for the DFT cell and can differ from measured ones.

The 8 most intense peaks (10° ≤ 2θ ≤ 90°), in order of rising 2θ:
two_theta, intensity
23.09, 8
34.07, 100
40.56, 59
50.66, 9
53.98, 27
66.82, 24
69.64, 25
73.79, 10

Structure:
a = 4.4485 Å, b = 4.4485 Å, c = 7.2079 Å
α = 90.00°, β = 90.00°, γ = 120.00°
Atoms (fractional coordinates):
Tb 0.0000 0.0000 0.0000
Sm 0.0000 0.0000 0.5000
Ge 0.3333 0.6667 0.7578
Ge 0.6667 0.3333 0.2422
Pd 0.3333 0.6667 0.2293
Pd 0.6667 0.3333 0.7707

---

[4]
# SnGePd3
Calculated powder XRD pattern, Cu Ka. Input: a crystal structure in Alexandria, relaxed with PBE.
Peak positions follow from Bragg's law for the DFT cell and can differ from measured ones.

The 8 most intense peaks (10° ≤ 2θ ≤ 90°), in order of rising 2θ:
two_theta, intensity
11.70, 53
37.26, 100
39.18, 48
41.49, 73
41.96, 60
44.46, 49
47.69, 29
65.37, 29

Structure:
a = 4.3059 Å, b = 7.5660 Å, c = 5.8287 Å
α = 90.00°, β = 90.00°, γ = 90.00°
Atoms (fractional coordinates):
Sn 0.0000 0.1577 0.0000
Sn 0.0000 0.8423 0.5000
Ge 0.5000 0.3728 0.5832
Ge 0.5000 0.6272 0.0832
Pd 0.0000 0.2051 0.4778
Pd 0.0000 0.7949 0.9778
Pd 0.5000 0.0626 0.7488
Pd 0.5000 0.3129 0.1704
Pd 0.5000 0.6871 0.6704
Pd 0.5000 0.9374 0.2488

---

[5]
# Sn2GePd3
Calculated powder XRD pattern, Cu Ka. Input: a crystal structure in Alexandria, relaxed with PBE.
Peak positions follow from Bragg's law for the DFT cell and can differ from measured ones.

The 8 most intense peaks (10° ≤ 2θ ≤ 90°), in order of rising 2θ:
two_theta, intensity
30.76, 45
32.26, 100
37.34, 55
37.83, 74
40.38, 69
42.21, 69
49.17, 54
50.17, 56

Structure:
a = 6.4602 Å, b = 3.6366 Å, c = 9.8632 Å
α = 90.00°, β = 102.13°, γ = 90.00°
Atoms (fractional coordinates):
Sn 0.0132 0.2500 0.2972
Sn 0.2317 0.2500 0.9651
Sn 0.7683 0.7500 0.0349
Sn 0.9868 0.7500 0.7028
Ge 0.4591 0.2500 0.6169
Ge 0.5409 0.7500 0.3831
Pd 0.2035 0.7500 0.4965
Pd 0.2259 0.7500 0.1794
Pd 0.4150 0.7500 0.8054
Pd 0.5850 0.2500 0.1946
Pd 0.7741 0.2500 0.8206
Pd 0.7965 0.2500 0.5035

---

[6]
# Sn3GePd12
Calculated powder XRD pattern, Cu Ka. Input: a crystal structure in Alexandria, relaxed with PBE.
Peak positions follow from Bragg's law for the DFT cell and can differ from measured ones.

The 8 most intense peaks (10° ≤ 2θ ≤ 90°), in order of rising 2θ:
two_theta, intensity
35.82, 1
38.87, 100
45.15, 33
45.27, 16
65.83, 31
79.11, 25
79.28, 12
83.44, 11

Structure:
a = 4.0161 Å, b = 4.0161 Å, c = 16.0241 Å
α = 90.00°, β = 90.00°, γ = 90.00°
Atoms (fractional coordinates):
Sn 0.0000 0.0000 0.0000
Sn 0.0000 0.0000 0.2534
Sn 0.0000 0.0000 0.7466
Ge 0.0000 0.0000 0.5000
Pd 0.0000 0.5000 0.1268
Pd 0.0000 0.5000 0.3809
Pd 0.0000 0.5000 0.6191
Pd 0.0000 0.5000 0.8732
Pd 0.5000 0.0000 0.1268
Pd 0.5000 0.0000 0.3809
Pd 0.5000 0.0000 0.6191
Pd 0.5000 0.0000 0.8732
Pd 0.5000 0.5000 0.0000
Pd 0.5000 0.5000 0.2539
Pd 0.5000 0.5000 0.5000
Pd 0.5000 0.5000 0.7461

---

[7]
# Sn2GePd6
Calculated powder XRD pattern, Cu Ka. Input: a crystal structure in Alexandria, relaxed with PBE.
Peak positions follow from Bragg's law for the DFT cell and can differ from measured ones.

The 8 most intense peaks (10° ≤ 2θ ≤ 90°), in order of rising 2θ:
two_theta, intensity
36.30, 100
38.64, 40
39.22, 57
44.06, 52
47.09, 32
53.19, 19
71.47, 25
72.20, 26

Structure:
a = 7.1191 Å, b = 7.1191 Å, c = 3.4441 Å
α = 90.00°, β = 90.00°, γ = 120.00°
Atoms (fractional coordinates):
Sn 0.3333 0.6667 0.0000
Sn 0.6667 0.3333 0.0000
Ge 0.0000 0.0000 0.5000
Pd 0.0000 0.2581 0.0000
Pd 0.0000 0.6166 0.5000
Pd 0.2581 0.0000 0.0000
Pd 0.3834 0.3834 0.5000
Pd 0.6166 0.0000 0.5000
Pd 0.7419 0.7419 0.0000

---

[8]
# Sr4GePd3
Calculated powder XRD pattern, Cu Ka. Input: a crystal structure in Alexandria, relaxed with PBE.
Peak positions follow from Bragg's law for the DFT cell and can differ from measured ones.

The 8 most intense peaks (10° ≤ 2θ ≤ 90°), in order of rising 2θ:
two_theta, intensity
15.50, 29
29.21, 100
30.94, 50
36.86, 83
37.17, 38
39.68, 34
40.69, 31
56.29, 24

Structure:
a = 4.4343 Å, b = 4.5428 Å, c = 11.4305 Å
α = 90.00°, β = 90.00°, γ = 90.00°
Atoms (fractional coordinates):
Sr 0.0000 0.0000 0.0000
Sr 0.0000 0.5000 0.2710
Sr 0.5000 0.0000 0.4903
Sr 0.5000 0.5000 0.7798
Ge 0.0000 0.0000 0.6890
Pd 0.0000 0.5000 0.5872
Pd 0.5000 0.0000 0.2094
Pd 0.5000 0.5000 0.0637

---

[9]
# Sr2GePd6
Calculated powder XRD pattern, Cu Ka. Input: a crystal structure in Alexandria, relaxed with PBE.
Peak positions follow from Bragg's law for the DFT cell and can differ from measured ones.

The 8 most intense peaks (10° ≤ 2θ ≤ 90°), in order of rising 2θ:
two_theta, intensity
17.66, 12
30.15, 30
32.87, 12
36.73, 38
36.88, 77
40.94, 100
63.43, 26
63.61, 12

Structure:
a = 5.8669 Å, b = 5.8669 Å, c = 6.1606 Å
α = 103.62°, β = 103.62°, γ = 59.82°
Atoms (fractional coordinates):
Sr 0.1387 0.1387 0.3298
Sr 0.8613 0.8613 0.6702
Ge 0.5000 0.5000 0.5000
Pd 0.1061 0.6177 0.1883
Pd 0.3823 0.8939 0.8117
Pd 0.3840 0.3840 0.8099
Pd 0.6160 0.6160 0.1901
Pd 0.6177 0.1061 0.1883
Pd 0.8939 0.3823 0.8117

---

[10]
# Sr2Ge4Pd3
Calculated powder XRD pattern, Cu Ka. Input: a crystal structure in Alexandria, relaxed with PBE.
Peak positions follow from Bragg's law for the DFT cell and can differ from measured ones.

The 8 most intense peaks (10° ≤ 2θ ≤ 90°), in order of rising 2θ:
two_theta, intensity
13.92, 29
34.10, 20
36.89, 100
38.92, 39
42.62, 27
42.87, 25
59.97, 24
62.39, 20

Structure:
a = 8.2555 Å, b = 6.9598 Å, c = 5.9663 Å
α = 78.98°, β = 55.84°, γ = 45.18°
Atoms (fractional coordinates):
Sr 0.1391 0.1391 0.8609
Sr 0.8609 0.8609 0.1391
Ge 0.1632 0.5225 0.4775
Ge 0.4775 0.8368 0.1632
Ge 0.5225 0.1632 0.8368
Ge 0.8368 0.4775 0.5225
Pd 0.0000 0.0000 0.5000
Pd 0.5000 0.5000 0.0000
Pd 0.5000 0.5000 0.5000

---

[11]
# SrGe2Pd8
Calculated powder XRD pattern, Cu Ka. Input: a crystal structure in Alexandria, relaxed with PBE.
Peak positions follow from Bragg's law for the DFT cell and can differ from measured ones.

The 8 most intense peaks (10° ≤ 2θ ≤ 90°), in order of rising 2θ:
two_theta, intensity
11.00, 91
22.09, 26
32.46, 42
33.41, 24
39.61, 100
46.56, 47
47.27, 49
81.63, 24

Structure:
a = 5.5170 Å, b = 5.5170 Å, c = 8.0467 Å
α = 90.00°, β = 90.00°, γ = 90.00°
Atoms (fractional coordinates):
Sr 0.0000 0.0000 0.0000
Ge 0.0000 0.5000 0.5000
Ge 0.5000 0.0000 0.5000
Pd 0.2525 0.2525 0.3058
Pd 0.2525 0.2525 0.6942
Pd 0.2525 0.7475 0.3058
Pd 0.2525 0.7475 0.6942
Pd 0.7475 0.2525 0.3058
Pd 0.7475 0.2525 0.6942
Pd 0.7475 0.7475 0.3058
Pd 0.7475 0.7475 0.6942

---

[12]
# Sr3Ge2Pd5
Calculated powder XRD pattern, Cu Ka. Input: a crystal structure in Alexandria, relaxed with PBE.
Peak positions follow from Bragg's law for the DFT cell and can differ from measured ones.

The 8 most intense peaks (10° ≤ 2θ ≤ 90°), in order of rising 2θ:
two_theta, intensity
15.90, 26
31.09, 41
31.32, 92
33.00, 88
39.68, 100
42.30, 38
43.62, 43
45.31, 19

Structure:
a = 9.2200 Å, b = 9.2200 Å, c = 9.2200 Å
α = 105.61°, β = 87.61°, γ = 140.60°
Atoms (fractional coordinates):
Sr 0.1151 0.7046 0.8198
Sr 0.2500 0.2500 0.0000
Sr 0.3849 0.2046 0.5895
Sr 0.6151 0.7954 0.4105
Sr 0.7500 0.7500 0.0000
Sr 0.8849 0.2954 0.1802
Ge 0.1503 0.1590 0.3093
Ge 0.3497 0.6590 0.0087
Ge 0.6503 0.3410 0.9913
Ge 0.8497 0.8410 0.6907
Pd 0.0255 0.2500 0.7755
Pd 0.1378 0.3731 0.5109
Pd 0.2500 0.7500 0.5000
Pd 0.3622 0.8731 0.2353
Pd 0.4745 0.2500 0.2245
Pd 0.5255 0.7500 0.7755
Pd 0.6378 0.1269 0.7647
Pd 0.7500 0.2500 0.5000
Pd 0.8622 0.6269 0.4891
Pd 0.9745 0.7500 0.2245

---

[13]
# Sr3ZnGe6Pd2
Calculated powder XRD pattern, Cu Ka. Input: a crystal structure in Alexandria, relaxed with PBE.
Peak positions follow from Bragg's law for the DFT cell and can differ from measured ones.

The 8 most intense peaks (10° ≤ 2θ ≤ 90°), in order of rising 2θ:
two_theta, intensity
28.67, 75
31.38, 37
34.89, 77
35.66, 100
39.51, 67
46.35, 32
55.44, 32
59.36, 36

Structure:
a = 6.2277 Å, b = 6.2277 Å, c = 8.5517 Å
α = 90.00°, β = 90.00°, γ = 120.00°
Atoms (fractional coordinates):
Sr 0.0000 0.0000 0.0000
Sr 0.3333 0.6667 0.6329
Sr 0.6667 0.3333 0.3671
Zn 0.0000 0.0000 0.5000
Ge 0.1937 0.3874 0.2845
Ge 0.1937 0.8063 0.2845
Ge 0.3874 0.1937 0.7155
Ge 0.6126 0.8063 0.2845
Ge 0.8063 0.1937 0.7155
Ge 0.8063 0.6126 0.7155
Pd 0.3333 0.6667 0.0346
Pd 0.6667 0.3333 0.9654